1.
Diffraction record for In3Ge. The powder XRD pattern is calculated, not measured: it uses a cell relaxed with GGA-PBE and λ = 1.5418 Å (Cu Kα).
Intensities are scaled so that the largest is 100.

Principal peaks in the range 2θ from 10° to 80°, sorted by position:
2theta  I (rel.)  hkl
20.74  2.2  1 1 1
23.99  1.2  2 0 0
34.19  100.0  2 2 0
40.32  1.2  3 1 1
49.13  17.5  4 0 0
61.21  35.4  4 2 2
72.01  10.8  4 4 0

```
data_In3Ge
_chemical_formula_sum 'In12 Ge4'
_symmetry_space_group_name_H-M 'F m -3 m'
_symmetry_Int_Tables_number 225
_symmetry_space_group_name_Hall '-F 4 2 3'
_cell_length_a 7.4181
_cell_length_b 7.4181
_cell_length_c 7.4181
_cell_angle_alpha 90.00
_cell_angle_beta 90.00
_cell_angle_gamma 90.00
loop_
_atom_site_label
_atom_site_fract_x
_atom_site_fract_y
_atom_site_fract_z
_atom_site_occupancy
In1 0.0000 0.0000 0.0000 1
In2 0.2500 0.2500 0.2500 1
Ge1 0.0000 0.0000 0.5000 1
```



2.
Diffraction record for In3Ge. The powder XRD pattern is calculated, not measured: it uses a cell relaxed with GGA-PBE and λ = 1.5418 Å (Cu Kα).
Intensities are scaled so that the largest is 100.

Principal peaks in the range 2θ from 10° to 80°, sorted by position:
2theta  I (rel.)  hkl
30.96  23.9  2 0 0
33.84  25.3  0 0 2
35.40  100.0  2 0 1
46.52  15.2  2 0 2
55.08  17.8  2 2 0
61.55  19.2  2 0 3
66.23  20.1  2 2 2
67.20  14.4  4 0 1

```
data_In3Ge
_chemical_formula_sum 'In6 Ge2'
_symmetry_space_group_name_H-M 'P 63/m m c'
_symmetry_Int_Tables_number 194
_symmetry_space_group_name_Hall '-P 6c 2c'
_cell_length_a 6.6695
_cell_length_b 6.6695
_cell_length_c 5.2984
_cell_angle_alpha 90.00
_cell_angle_beta 90.00
_cell_angle_gamma 120.00
loop_
_atom_site_label
_atom_site_fract_x
_atom_site_fract_y
_atom_site_fract_z
_atom_site_occupancy
In1 0.1714 0.3427 0.2500 1
Ge1 0.3333 0.6667 0.7500 1
```



3.
Diffraction record for In6Ge2IrO8. The powder XRD pattern is calculated, not measured: it uses a cell relaxed with GGA-PBE and λ = 1.5418 Å (Cu Kα).
Intensities are scaled so that the largest is 100.

Principal peaks in the range 2θ from 10° to 80°, sorted by position:
2theta  I (rel.)  hkl
14.97  28.9  1 1 1
17.30  33.6  2 0 0
28.89  41.3  3 1 1
30.20  99.8  2 2 2
35.02  97.1  4 0 0
39.31  29.9  4 2 0
50.36  100.0  4 4 0
59.85  38.9  6 2 2

```
data_In6Ge2IrO8
_chemical_formula_sum 'In24 Ge8 Ir4 O32'
_symmetry_space_group_name_H-M 'F m -3 m'
_symmetry_Int_Tables_number 225
_symmetry_space_group_name_Hall '-F 4 2 3'
_cell_length_a 10.2505
_cell_length_b 10.2505
_cell_length_c 10.2505
_cell_angle_alpha 90.00
_cell_angle_beta 90.00
_cell_angle_gamma 90.00
loop_
_atom_site_label
_atom_site_fract_x
_atom_site_fract_y
_atom_site_fract_z
_atom_site_occupancy
In1 0.0000 0.0000 0.2495 1
Ge1 0.2500 0.2500 0.2500 1
Ir1 0.0000 0.0000 0.0000 1
O1 0.1471 0.1471 0.3529 1
```



4.
Diffraction record for KInGe4O12. The powder XRD pattern is calculated, not measured: it uses a cell relaxed with GGA-PBE and λ = 1.5418 Å (Cu Kα).
Intensities are scaled so that the largest is 100.

Principal peaks in the range 2θ from 10° to 80°, sorted by position:
2theta  I (rel.)  hkl
20.50  100.0  1 1 1
33.60  88.3  2 2 0
33.79  82.9  0 2 2
33.95  75.1  2 0 2
48.48  34.9  4 0 0
60.10  35.0  2 4 2
60.40  35.0  4 2 2
60.77  34.9  2 2 4

```
data_KInGe4O12
_chemical_formula_sum 'K2 In2 Ge8 O24'
_symmetry_space_group_name_H-M 'A m m 2'
_symmetry_Int_Tables_number 38
_symmetry_space_group_name_Hall 'A 2 -2'
_cell_length_a 7.5105
_cell_length_b 7.5800
_cell_length_c 7.4279
_cell_angle_alpha 90.00
_cell_angle_beta 90.00
_cell_angle_gamma 90.00
loop_
_atom_site_label
_atom_site_fract_x
_atom_site_fract_y
_atom_site_fract_z
_atom_site_occupancy
K1 0.0000 0.0000 0.0000 1
In1 0.5000 0.0000 0.5341 1
Ge1 0.2452 0.2424 0.2676 1
O1 0.0000 0.2163 0.2739 1
O2 0.2371 0.0000 0.7265 1
O3 0.2652 0.2207 0.0160 1
O4 0.3058 0.0000 0.3117 1
O5 0.5000 0.2053 0.7422 1
```



5.
Diffraction record for KInGe2O6. The powder XRD pattern is calculated, not measured: it uses a cell relaxed with GGA-PBE and λ = 1.5418 Å (Cu Kα).
Intensities are scaled so that the largest is 100.

Principal peaks in the range 2θ from 10° to 80°, sorted by position:
2theta  I (rel.)  hkl
12.66  27.2  1 1 0
18.58  28.5  1 1 -1
27.61  100.0  2 2 -1
27.95  44.5  3 1 0
32.25  34.9  1 3 -1
32.43  42.5  0 0 2
32.71  67.3  2 2 1
52.17  18.6  5 3 -1

```
data_KInGe2O6
_chemical_formula_sum 'K4 In4 Ge8 O24'
_symmetry_space_group_name_H-M 'C 1 2/c 1'
_symmetry_Int_Tables_number 15
_symmetry_space_group_name_Hall '-C 2yc'
_cell_length_a 10.5177
_cell_length_b 9.6482
_cell_length_c 5.7238
_cell_angle_alpha 90.00
_cell_angle_beta 105.26
_cell_angle_gamma 90.00
loop_
_atom_site_label
_atom_site_fract_x
_atom_site_fract_y
_atom_site_fract_z
_atom_site_occupancy
K1 0.0000 0.1882 0.2500 1
In1 0.0000 0.3960 0.7500 1
Ge1 0.2155 0.0890 0.7919 1
O1 0.1099 0.4283 0.1290 1
O2 0.1498 0.0156 0.0239 1
O3 0.1514 0.2539 0.7149 1
```



6.
Diffraction record for La3InGe. The powder XRD pattern is calculated, not measured: it uses a cell relaxed with GGA-PBE and λ = 1.5418 Å (Cu Kα).
Intensities are scaled so that the largest is 100.

Principal peaks in the range 2θ from 10° to 80°, sorted by position:
2theta  I (rel.)  hkl
29.97  20.4  0 4 4
30.33  65.3  5 3 1
30.71  29.3  0 6 0
30.84  27.1  1 5 3
31.71  100.0  4 2 4
31.84  23.5  3 1 5
32.42  23.8  6 2 0
34.17  33.0  5 3 3

```
data_La3InGe
_chemical_formula_sum 'La96 In32 Ge32'
_symmetry_space_group_name_H-M 'F m m 2'
_symmetry_Int_Tables_number 42
_symmetry_space_group_name_Hall 'F 2 -2'
_cell_length_a 17.4551
_cell_length_b 17.4806
_cell_length_c 16.3258
_cell_angle_alpha 90.00
_cell_angle_beta 90.00
_cell_angle_gamma 90.00
loop_
_atom_site_label
_atom_site_fract_x
_atom_site_fract_y
_atom_site_fract_z
_atom_site_occupancy
La1 0.0000 0.0000 0.0000 1
La2 0.0000 0.0000 0.2144 1
La3 0.0000 0.0000 0.4951 1
La4 0.0000 0.0000 0.7124 1
La5 0.0000 0.1677 0.8577 1
La6 0.1156 0.1840 0.2166 1
La7 0.1162 0.1867 0.4897 1
La8 0.1674 0.0000 0.3543 1
La9 0.1819 0.1184 0.9903 1
La10 0.1843 0.1181 0.7201 1
In1 0.0000 0.1754 0.6518 1
In2 0.1746 0.0000 0.1513 1
In3 0.1750 0.0000 0.5566 1
In4 0.2500 0.2500 0.3544 1
Ge1 0.0000 0.1202 0.3542 1
Ge2 0.0000 0.1759 0.0541 1
Ge3 0.1198 0.0000 0.8549 1
Ge4 0.2500 0.2500 0.1042 1
```



7.
Diffraction record for LiIn4Ge4O14. The powder XRD pattern is calculated, not measured: it uses a cell relaxed with GGA-PBE and λ = 1.5418 Å (Cu Kα).
Intensities are scaled so that the largest is 100.

Principal peaks in the range 2θ from 10° to 80°, sorted by position:
2theta  I (rel.)  hkl
30.64  33.4  0 0 6
30.92  100.0  2 0 2
35.77  39.0  0 2 4
51.30  30.5  2 0 8
51.67  32.0  2 2 0
60.95  12.1  0 2 10
61.27  25.6  2 2 6
61.43  13.2  0 4 2

```
data_LiIn4Ge4O14
_chemical_formula_sum 'Li3 In12 Ge12 O42'
_symmetry_space_group_name_H-M 'R 3 m'
_symmetry_Int_Tables_number 160
_symmetry_space_group_name_Hall 'R 3 -2"'
_cell_length_a 7.0768
_cell_length_b 7.0768
_cell_length_c 17.5060
_cell_angle_alpha 90.00
_cell_angle_beta 90.00
_cell_angle_gamma 120.00
loop_
_atom_site_label
_atom_site_fract_x
_atom_site_fract_y
_atom_site_fract_z
_atom_site_occupancy
Li1 0.0000 0.0000 0.0000 1
In1 0.0000 0.0000 0.2487 1
In2 0.1743 0.3486 0.0909 1
Ge1 0.0000 0.0000 0.7434 1
Ge2 0.0027 0.5013 0.2465 1
O1 0.0000 0.0000 0.1183 1
O2 0.0000 0.0000 0.3719 1
O3 0.0613 0.5306 0.3549 1
O4 0.0697 0.5349 0.6050 1
O5 0.1971 0.3941 0.4704 1
O6 0.1977 0.3954 0.2210 1
```



8.
Diffraction record for LiIn4Ge4O14. The powder XRD pattern is calculated, not measured: it uses a cell relaxed with GGA-PBE and λ = 1.5418 Å (Cu Kα).
Intensities are scaled so that the largest is 100.

Principal peaks in the range 2θ from 10° to 80°, sorted by position:
2theta  I (rel.)  hkl
30.81  100.0  2 0 2
35.72  28.1  2 2 0
39.05  7.4  1 2 3
51.40  39.1  2 2 4
51.47  7.8  4 0 0
61.14  39.7  4 2 2
64.12  4.5  0 4 4
75.67  6.5  4 4 0

```
data_LiIn4Ge4O14
_chemical_formula_sum 'Li2 In8 Ge8 O28'
_symmetry_space_group_name_H-M 'I m m 2'
_symmetry_Int_Tables_number 44
_symmetry_space_group_name_Hall 'I 2 -2'
_cell_length_a 7.1019
_cell_length_b 7.1171
_cell_length_c 10.0552
_cell_angle_alpha 90.00
_cell_angle_beta 90.00
_cell_angle_gamma 90.00
loop_
_atom_site_label
_atom_site_fract_x
_atom_site_fract_y
_atom_site_fract_z
_atom_site_occupancy
Li1 0.0000 0.0000 0.0000 1
In1 0.0000 0.2502 0.6231 1
In2 0.2498 0.0000 0.3731 1
Ge1 0.0000 0.2633 0.1299 1
Ge2 0.2379 0.5000 0.3672 1
O1 0.0000 0.0000 0.1987 1
O2 0.0000 0.0000 0.4985 1
O3 0.0000 0.0000 0.7988 1
O4 0.0000 0.5000 0.0468 1
O5 0.0000 0.5000 0.4497 1
O6 0.0000 0.5000 0.7483 1
O7 0.1999 0.1999 0.9985 1
O8 0.2016 0.2988 0.2484 1
```



9.
Diffraction record for LiInGeO4. The powder XRD pattern is calculated, not measured: it uses a cell relaxed with GGA-PBE and λ = 1.5418 Å (Cu Kα).
Intensities are scaled so that the largest is 100.

Principal peaks in the range 2θ from 10° to 80°, sorted by position:
2theta  I (rel.)  hkl
16.28  24.8  2 0 0
19.31  38.8  1 0 1
24.14  55.0  1 1 1
28.92  46.9  0 2 0
33.66  100.0  3 1 1
35.01  20.0  1 2 1
54.34  25.0  3 3 1
62.46  20.3  3 1 3

```
data_LiInGeO4
_chemical_formula_sum 'Li4 In4 Ge4 O16'
_symmetry_space_group_name_H-M 'P n m a'
_symmetry_Int_Tables_number 62
_symmetry_space_group_name_Hall '-P 2ac 2n'
_cell_length_a 10.8904
_cell_length_b 6.1745
_cell_length_c 5.0688
_cell_angle_alpha 90.00
_cell_angle_beta 90.00
_cell_angle_gamma 90.00
loop_
_atom_site_label
_atom_site_fract_x
_atom_site_fract_y
_atom_site_fract_z
_atom_site_occupancy
Li1 0.0000 0.0000 0.0000 1
In1 0.2278 0.2500 0.4927 1
Ge1 0.0870 0.7500 0.4418 1
O1 0.0589 0.2500 0.7105 1
O2 0.0940 0.7500 0.7860 1
O3 0.1661 0.5322 0.2729 1
```



10.
Diffraction record for Li2In2GeSe6. The powder XRD pattern is calculated, not measured: it uses a cell relaxed with GGA-PBE and λ = 1.5418 Å (Cu Kα).
Intensities are scaled so that the largest is 100.

Principal peaks in the range 2θ from 10° to 80°, sorted by position:
2theta  I (rel.)  hkl
13.70  100.0  1 1 0
27.63  48.4  0 2 2
27.92  84.3  4 0 -2
28.89  73.0  2 2 -2
29.46  59.6  0 0 4
41.26  47.1  1 3 -3
43.95  44.5  3 3 -3
44.46  57.1  6 0 -4

```
data_Li2In2GeSe6
_chemical_formula_sum 'Li8 In8 Ge4 Se24'
_symmetry_space_group_name_H-M 'C 1 c 1'
_symmetry_Int_Tables_number 9
_symmetry_space_group_name_Hall 'C -2yc'
_cell_length_a 12.9768
_cell_length_b 7.6188
_cell_length_c 12.8857
_cell_angle_alpha 90.00
_cell_angle_beta 109.72
_cell_angle_gamma 90.00
loop_
_atom_site_label
_atom_site_fract_x
_atom_site_fract_y
_atom_site_fract_z
_atom_site_occupancy
Li1 0.0000 0.1011 0.0000 1
Li2 0.2069 0.3050 0.6551 1
In1 0.0184 0.4099 0.3082 1
In2 0.3418 0.0709 0.0041 1
Ge1 0.2722 0.2313 0.2492 1
Se1 0.0130 0.2555 0.4897 1
Se2 0.1957 0.2620 0.0554 1
Se3 0.2003 0.0242 0.8017 1
Se4 0.2238 0.4853 0.3292 1
Se5 0.3941 0.2247 0.6179 1
Se6 0.4650 0.2482 0.3024 1
```